Record 1
Diffraction record for NaNd6In6. The PXRD pattern is theoretical, not measured: it uses a crystal structure in Alexandria, relaxed with PBE and a wavelength of 1.5418 Å.
Neutral-atom scattering factors, no anomalous dispersion.

Main lines, sorted by position (15 to 90 degrees two-theta):
- d 3.244, 2θ = 27.49°, rel. 34
- d 2.810, 2θ = 31.85°, rel. 28
- d 2.795, 2θ = 32.02°, rel. 47
- d 2.752, 2θ = 32.54°, rel. 25
- d 2.502, 2θ = 35.89°, rel. 100
- d 2.471, 2θ = 36.35°, rel. 26
- d 1.681, 2θ = 54.58°, rel. 16
- d 1.622, 2θ = 56.75°, rel. 26
- d 1.597, 2θ = 57.73°, rel. 24
- d 1.397, 2θ = 66.96°, rel. 18

Crystal structure
```
NaNd6In6
1.0
6.489 0.000 0.000
-3.244 5.619 0.000
0.000 0.000 11.007
Na Nd In
1 6 6
Direct
0.000 0.000 0.000 Na
0.000 0.000 0.325 Nd
0.000 0.000 0.675 Nd
0.333 0.667 0.000 Nd
0.333 0.667 0.500 Nd
0.667 0.333 0.000 Nd
0.667 0.333 0.500 Nd
0.000 0.500 0.247 In
0.000 0.500 0.753 In
0.500 0.000 0.247 In
0.500 0.000 0.753 In
0.500 0.500 0.247 In
0.500 0.500 0.753 In
```


Record 2
Diffraction record for Sb3Rh2. The PXRD pattern is theoretical, not measured: it uses a crystal structure in Alexandria, relaxed with PBE and a wavelength of 1.5418 Å.
Neutral-atom scattering factors, no anomalous dispersion.

Main lines, sorted by position (15 to 90 degrees two-theta):
- d 4.809, 2θ = 18.45°, rel. 16
- d 2.904, 2θ = 30.79°, rel. 100
- d 2.138, 2θ = 42.27°, rel. 64
- d 1.978, 2θ = 45.87°, rel. 55
- d 1.635, 2θ = 56.27°, rel. 18
- d 1.610, 2θ = 57.22°, rel. 17
- d 1.452, 2θ = 64.14°, rel. 18
- d 1.260, 2θ = 75.43°, rel. 15
- d 1.171, 2θ = 82.39°, rel. 18
- d 1.125, 2θ = 86.50°, rel. 17

Crystal structure
```
Sb3Rh2
1.0
3.426 1.978 5.471
-3.426 1.978 5.471
0.000 -3.957 5.471
Sb Rh
6 4
Direct
0.084 0.750 0.416 Sb
0.250 0.584 0.916 Sb
0.416 0.084 0.750 Sb
0.584 0.916 0.250 Sb
0.750 0.416 0.084 Sb
0.916 0.250 0.584 Sb
0.162 0.162 0.162 Rh
0.338 0.338 0.338 Rh
0.662 0.662 0.662 Rh
0.838 0.838 0.838 Rh
```